The following is a calculated X-ray powder pattern of LiFeWClO4. It was derived from the GGA+U geometry in the Materials Project, using Cu Kα (λ = 1.5418 Å).
Intensities are scaled so that the largest is 100.

Largest 8 diffraction maxima, by angle, 2θ = 10–90°:
- hkl 1 0 0, 17.29°, I = 76
- hkl 0 1 1, 17.61°, I = 35
- hkl 1 1 -1, 24.43°, I = 52
- hkl 0 0 2, 24.87°, I = 56
- hkl 0 2 0, 25.13°, I = 100
- hkl 1 2 0, 30.67°, I = 35
- hkl 0 2 2, 35.65°, I = 30
- hkl 2 1 -1, 38.97°, I = 28

Structure:
```
data_LiFeWClO4
_cell_length_a 5.1332
_cell_length_b 7.0852
_cell_length_c 7.1668
_cell_angle_alpha 90.00
_cell_angle_beta 92.25
_cell_angle_gamma 90.00
_symmetry_space_group_name_H-M 'P 1'
_symmetry_Int_Tables_number 1
loop_
_symmetry_equiv_pos_as_xyz
'x,y,z'
loop_
_atom_site_label
_atom_site_type_symbol
_atom_site_fract_x
_atom_site_fract_y
_atom_site_fract_z
Li1 Li 0.0000 0.2442 0.0000
Li2 Li 0.0000 0.7558 0.0000
Fe1 Fe 0.3151 0.0000 0.2546
Fe2 Fe 0.6847 0.5000 0.7527
W1 W 0.4983 0.5000 0.2409
W2 W 0.4992 0.0000 0.7696
Cl1 Cl 0.1908 0.5000 0.7835
Cl2 Cl 0.8088 0.0000 0.2299
O1 O 0.2450 0.0000 0.9436
O2 O 0.2936 0.2909 0.2137
O3 O 0.2936 0.7091 0.2137
O4 O 0.3439 0.0000 0.5415
O5 O 0.6588 0.5000 0.4685
O6 O 0.7055 0.2075 0.7993
O7 O 0.7055 0.7925 0.7993
O8 O 0.7455 0.5000 0.0633
```


The following is a calculated X-ray powder pattern of Li13MgNi12O26. It was derived from the GGA+U geometry in the Materials Project, using Cu Kα (λ = 1.5418 Å).
Intensities are scaled so that the largest is 100.

Largest 8 diffraction maxima, by angle, 2θ = 10–90°:
- hkl 0 1 -1, 18.77°, I = 100
- hkl -2 2 1, 35.44°, I = 19
- hkl 1 2 3, 37.20°, I = 24
- hkl 3 0 2, 38.52°, I = 10
- hkl 2 -3 0, 42.84°, I = 28
- hkl 3 2 0, 45.23°, I = 46
- hkl 3 -1 3, 48.56°, I = 11
- hkl 1 5 0, 64.22°, I = 14

Structure:
```
data_Li13MgNi12O26
_cell_length_a 7.5965
_cell_length_b 7.7311
_cell_length_c 8.0193
_cell_angle_alpha 75.38
_cell_angle_beta 75.83
_cell_angle_gamma 89.09
_symmetry_space_group_name_H-M 'P 1'
_symmetry_Int_Tables_number 1
loop_
_symmetry_equiv_pos_as_xyz
'x,y,z'
loop_
_atom_site_label
_atom_site_type_symbol
_atom_site_fract_x
_atom_site_fract_y
_atom_site_fract_z
Li1 Li 0.0000 0.0000 0.0000
Li2 Li 0.0808 0.3850 0.3848
Li3 Li 0.1540 0.7714 0.7710
Li4 Li 0.2292 0.1531 0.1545
Li5 Li 0.3062 0.5434 0.5376
Li6 Li 0.3846 0.9238 0.9233
Li7 Li 0.4589 0.3057 0.3098
Li8 Li 0.5411 0.6943 0.6902
Li9 Li 0.6154 0.0762 0.0767
Li10 Li 0.6938 0.4566 0.4624
Li11 Li 0.7708 0.8469 0.8455
Li12 Li 0.8460 0.2286 0.2290
Li13 Li 0.9192 0.6150 0.6152
Mg1 Mg 0.0000 0.0000 0.5000
Ni1 Ni 0.0778 0.3850 0.8842
Ni2 Ni 0.1515 0.7715 0.2686
Ni3 Ni 0.2327 0.1551 0.6543
Ni4 Ni 0.3076 0.5381 0.0390
Ni5 Ni 0.3832 0.9264 0.4222
Ni6 Ni 0.4633 0.3075 0.8076
Ni7 Ni 0.5367 0.6925 0.1924
Ni8 Ni 0.6168 0.0736 0.5778
Ni9 Ni 0.6924 0.4619 0.9610
Ni10 Ni 0.7673 0.8449 0.3457
Ni11 Ni 0.8485 0.2285 0.7313
Ni12 Ni 0.9222 0.6150 0.1158
O1 O 0.0133 0.0122 0.7455
O2 O 0.0676 0.3780 0.6513
O3 O 0.0879 0.3924 0.1175
O4 O 0.1437 0.7578 0.0378
O5 O 0.1652 0.7783 0.5010
O6 O 0.2334 0.1527 0.4182
O7 O 0.2444 0.1648 0.8870
O8 O 0.2975 0.5307 0.8058
O9 O 0.3165 0.5496 0.2713
O10 O 0.3730 0.9166 0.1886
O11 O 0.3952 0.9328 0.6567
O12 O 0.4548 0.2981 0.5757
O13 O 0.4737 0.3168 0.0400
O14 O 0.5263 0.6832 0.9600
O15 O 0.5452 0.7019 0.4243
O16 O 0.6048 0.0672 0.3433
O17 O 0.6270 0.0834 0.8114
O18 O 0.6835 0.4504 0.7287
O19 O 0.7025 0.4693 0.1942
O20 O 0.7556 0.8352 0.1130
O21 O 0.7666 0.8473 0.5818
O22 O 0.8348 0.2217 0.4990
O23 O 0.8563 0.2422 0.9622
O24 O 0.9121 0.6076 0.8825
O25 O 0.9324 0.6220 0.3487
O26 O 0.9867 0.9878 0.2545
```


The following is a calculated X-ray powder pattern of ZnNiF5. It was derived from the GGA+U geometry in the Materials Project, using Cu Kα (λ = 1.5418 Å).
Intensities are scaled so that the largest is 100.

Largest 8 diffraction maxima, by angle, 2θ = 10–90°:
- hkl 1 1 0, 20.69°, I = 31
- hkl 1 2 0, 26.23°, I = 100
- hkl 0 1 2, 27.33°, I = 30
- hkl 1 1 -2, 27.47°, I = 27
- hkl 0 2 2, 31.79°, I = 24
- hkl 1 2 -2, 31.92°, I = 23
- hkl 2 3 0, 47.34°, I = 19
- hkl 1 4 2, 53.58°, I = 21

Structure:
```
data_ZnNiF5
_cell_length_a 5.1251
_cell_length_b 9.6305
_cell_length_c 7.4177
_cell_angle_alpha 90.00
_cell_angle_beta 110.74
_cell_angle_gamma 90.00
_symmetry_space_group_name_H-M 'P 1'
_symmetry_Int_Tables_number 1
loop_
_symmetry_equiv_pos_as_xyz
'x,y,z'
loop_
_atom_site_label
_atom_site_type_symbol
_atom_site_fract_x
_atom_site_fract_y
_atom_site_fract_z
Zn1 Zn 0.0319 0.0148 0.2586
Zn2 Zn 0.0319 0.4852 0.7586
Zn3 Zn 0.9681 0.5148 0.2414
Zn4 Zn 0.9681 0.9852 0.7414
Ni1 Ni 0.3938 0.2490 0.6019
Ni2 Ni 0.3938 0.2510 0.1019
Ni3 Ni 0.6062 0.7490 0.8981
Ni4 Ni 0.6062 0.7510 0.3981
F1 F 0.0939 0.1181 0.5666
F2 F 0.0939 0.3819 0.0666
F3 F 0.1383 0.1086 0.9910
F4 F 0.1383 0.3914 0.4910
F5 F 0.3028 0.6318 0.3591
F6 F 0.3028 0.8682 0.8591
F7 F 0.3456 0.1826 0.3397
F8 F 0.3456 0.3174 0.8397
F9 F 0.3653 0.6022 0.7922
F10 F 0.3653 0.8978 0.2922
F11 F 0.6347 0.1022 0.7078
F12 F 0.6347 0.3978 0.2078
F13 F 0.6544 0.6826 0.1603
F14 F 0.6544 0.8174 0.6603
F15 F 0.6972 0.1318 0.1409
F16 F 0.6972 0.3682 0.6409
F17 F 0.8617 0.6086 0.5090
F18 F 0.8617 0.8914 0.0090
F19 F 0.9061 0.6181 0.9334
F20 F 0.9061 0.8819 0.4334
```